DyB2Ir3: theoretical powder diffractogram (λ = 1.5418 Å (Cu Kα)), based on a PBE-relaxed structure.
No peak broadening, texture or thermal motion is included.

Most intense lines, 2θ from 10° to 90°, by angle:
2θ/deg  d_spacing  I_rel  h k l
28.2  3.161  21  0 0 1
34.1  2.629  60  1 0 1
38.0  2.366  100  2 0 0
43.8  2.067  34  1 1 1
48.0  1.894  34  2 0 1
59.4  1.557  25  2 1 1
68.7  1.366  19  2 2 0
71.8  1.314  32  2 0 2
79.0  1.212  11  3 1 1
81.3  1.183  12  4 0 0

Cell and atoms:
```
6
Lattice="5.4649 0.0000 0.0000 -2.7324 4.7327 0.0000 0.0000 0.0000 3.1608" Properties=species:S:1:pos:R:3 pbc="T T T"
Dy 0.0000 0.0000 0.0000
B 0.0000 3.1551 0.0000
B 2.7324 1.5776 0.0000
Ir -1.3662 2.3664 1.5804
Ir 2.7324 0.0000 1.5804
Ir 1.3662 2.3664 1.5804
```